Diffraction record for Mg3Co3As4O16. The PXRD pattern is simulated, not measured: it uses a GGA+U-relaxed structure and Cu Kα (λ = 1.5418 Å).
Peak positions follow from Bragg's law for the DFT cell and can differ from measured ones.

Most intense lines, 15° ≤ 2θ ≤ 90°, low angle first:
22.34 deg, rel. 22, hkl 2 0 0; 23.74 deg, rel. 44, hkl 0 0 4; 24.37 deg, rel. 38, hkl 1 1 -3; 27.18 deg, rel. 100, hkl 2 1 -1; 29.90 deg, rel. 46, hkl 1 1 3; 32.76 deg, rel. 31, hkl 1 1 -5; 34.62 deg, rel. 26, hkl 0 1 5; 34.82 deg, rel. 42, hkl 0 2 0; 36.41 deg, rel. 39, hkl 3 1 -3; 40.01 deg, rel. 20, hkl 3 0 2

Atomic structure:
```
data_Mg3Co3As4O16
_chemical_formula_sum 'Mg6 Co6 As8 O32'
_symmetry_space_group_name_H-M 'P 1 21/c 1'
_symmetry_Int_Tables_number 14
_cell_length_a 8.5603
_cell_length_b 5.1523
_cell_length_c 16.1246
_cell_angle_alpha 90.00
_cell_angle_beta 111.61
_cell_angle_gamma 90.00
loop_
_symmetry_equiv_pos_as_xyz
'x,y,z'
'-x,-y,-z'
'-x,y+1/2,-z+1/2'
'x,-y+1/2,z+1/2'
loop_
_atom_site_label
_atom_site_fract_x
_atom_site_fract_y
_atom_site_fract_z
Mg1 0.0000 0.0000 0.0000
Mg2 0.3229 0.0486 0.2913
Co1 0.1961 0.0028 0.8713
Co2 0.5000 0.0000 0.5000
As1 0.0356 0.0169 0.6469
As2 0.4128 0.5028 0.6023
O1 0.0157 0.6857 0.6269
O2 0.0921 0.1812 0.5727
O3 0.1585 0.6116 0.8485
O4 0.1872 0.1016 0.7502
O5 0.2440 0.5724 0.5081
O6 0.3973 0.5949 0.6990
O7 0.4263 0.2075 0.9078
O8 0.4995 0.1971 0.6058
```